# 1
For Pm2Nd2Y4Th, the GGA-PBE geometry in Alexandria gives the simulated X-ray diffraction stick pattern in this record (CuKα).
No peak broadening, texture or thermal motion is included.

Structure:
a b c (Å): 9.6540 9.6540 9.6809
angles (deg): 115.40 115.40 21.77
Sites, in units of the cell vectors:
Pm (0.1475, 0.1475, 0.1645)
Pm (0.8525, 0.8525, 0.8355)
Nd (0.3367, 0.3367, 0.4958)
Nd (0.6633, 0.6633, 0.5042)
Y (0.1835, 0.1835, 0.8343)
Y (0.4814, 0.4814, 0.1727)
Y (0.5186, 0.5186, 0.8273)
Y (0.8165, 0.8165, 0.1657)
Th (0.0000, 0.0000, 0.5000)

The 12 most intense peaks (2θ from 10° to 90°), in order of rising 2θ:
two_theta  I (rel.)
28.46  49
30.80  47
31.46  100
33.14  86
39.70  20
45.03  14
50.01  36
54.09  22
57.35  18
59.92  28
60.29  15
61.32  14

***

# 2
For Pm3Nd3Tl2, the GGA-PBE geometry in Alexandria gives the simulated X-ray diffraction stick pattern in this record (CuKα).
No peak broadening, texture or thermal motion is included.

Structure:
a b c (Å): 4.9687 4.9784 9.9908
angles (deg): 90.00 90.00 90.00
Sites, in units of the cell vectors:
Pm (0.0000, 0.0000, 0.0000)
Pm (0.0000, 0.5000, 0.2498)
Pm (0.0000, 0.5000, 0.7502)
Nd (0.0000, 0.0000, 0.5000)
Nd (0.5000, 0.5000, 0.0000)
Nd (0.5000, 0.5000, 0.5000)
Tl (0.5000, 0.0000, 0.2489)
Tl (0.5000, 0.0000, 0.7511)

The 12 most intense peaks (2θ from 10° to 90°), in order of rising 2θ:
two_theta  I (rel.)
31.10  100
35.96  17
36.12  34
51.88  24
52.01  12
61.63  14
61.85  28
64.85  12
84.79  12
84.98  6
87.38  6
87.73  6

***

# 3
For Pm5Nd4Tl4, the GGA-PBE geometry in Alexandria gives the simulated X-ray diffraction stick pattern in this record (CuKα).
No peak broadening, texture or thermal motion is included.

Structure:
a b c (Å): 9.2756 9.2756 9.2756
angles (deg): 94.60 94.60 147.10
Sites, in units of the cell vectors:
Pm (0.0000, 0.0000, 0.0000)
Pm (0.3113, 0.4007, 0.7120)
Pm (0.4007, 0.6887, 0.0894)
Pm (0.5993, 0.3113, 0.9106)
Pm (0.6887, 0.5993, 0.2880)
Nd (0.0936, 0.6141, 0.7078)
Nd (0.3859, 0.0936, 0.4795)
Nd (0.6141, 0.9064, 0.5205)
Nd (0.9064, 0.3859, 0.2922)
Tl (0.1096, 0.2308, 0.3404)
Tl (0.2308, 0.8904, 0.1211)
Tl (0.7692, 0.1096, 0.8789)
Tl (0.8904, 0.7692, 0.6596)

The 12 most intense peaks (2θ from 10° to 90°), in order of rising 2θ:
two_theta  I (rel.)
30.76  100
31.81  10
33.98  14
34.14  24
36.41  17
47.35  7
50.77  13
51.35  7
59.03  16
62.04  8
63.12  7
65.88  8

***

# 4
For PmNd6Tl6, the GGA-PBE geometry in Alexandria gives the simulated X-ray diffraction stick pattern in this record (CuKα).
No peak broadening, texture or thermal motion is included.

Structure:
a b c (Å): 6.5329 6.5329 11.0211
angles (deg): 90.00 90.00 120.00
Sites, in units of the cell vectors:
Pm (0.0000, 0.0000, 0.0000)
Nd (0.0000, 0.0000, 0.3340)
Nd (0.0000, 0.0000, 0.6660)
Nd (0.3333, 0.6667, 0.0000)
Nd (0.3333, 0.6667, 0.5000)
Nd (0.6667, 0.3333, 0.0000)
Nd (0.6667, 0.3333, 0.5000)
Tl (0.0000, 0.5000, 0.2462)
Tl (0.0000, 0.5000, 0.7538)
Tl (0.5000, 0.0000, 0.2462)
Tl (0.5000, 0.0000, 0.7538)
Tl (0.5000, 0.5000, 0.2462)
Tl (0.5000, 0.5000, 0.7538)

The 12 most intense peaks (2θ from 10° to 90°), in order of rising 2θ:
two_theta  I (rel.)
16.08  19
27.30  18
28.98  17
31.63  57
31.85  59
32.50  30
35.68  100
36.26  21
45.98  19
56.33  30
57.57  23
66.56  24